Diffraction record for NaCr2PbF6. The X-ray diffraction stick pattern is theoretical, not measured: it uses DFT lattice parameters and positions (GGA+U) and Cu Kα.
Intensities are scaled so that the largest is 100.

Unit cell a=5.8438 b=5.9180 c=6.0416 alpha=61.98 beta=62.51 gamma=61.24
Space group P1 (No. 1)
Asymmetric unit:
Na1 0.0000 0.0000 0.0000 x1
Cr1 0.2928 0.2924 0.2892 x1
Cr2 0.7662 0.7767 0.7858 x1
Pb1 0.5056 0.5202 0.5345 x1
F1 0.0172 0.4235 0.7056 x1
F2 0.0861 0.9240 0.5946 x1
F3 0.4325 0.6667 0.9560 x1
F4 0.5393 0.1049 0.9229 x1
F5 0.6426 0.0523 0.3868 x1
F6 0.9451 0.5467 0.1777 x1

Most intense lines, 2θ = 10–90°, in order of falling intensity:
- 29.0°, d 3.079, I = 100
- 29.6°, d 3.014, I = 63
- 17.5°, d 5.080, I = 61
- 18.2°, d 4.880, I = 60
- 18.0°, d 4.918, I = 59
- 30.6°, d 2.921, I = 46